Computed X-ray powder pattern
Compound: LiCe2Ga4Au3
Radiation: Cu Ka
Structure: DFT lattice parameters and positions (GGA-PBE)

```
data_LiCe2Ga4Au3
_space_group_name_H-M_alt 'P -4 m 2'
_space_group_IT_number 115
_space_group_name_Hall 'P -4 -2'
_cell_length_a 4.296
_cell_length_b 4.296
_cell_length_c 11.068
_cell_angle_alpha 90.00
_cell_angle_beta 90.00
_cell_angle_gamma 90.00
loop_
_atom_site_label
_atom_site_type_symbol
_atom_site_fract_x
_atom_site_fract_y
_atom_site_fract_z
Li1 Li 0.000 0.000 0.000
Ce1 Ce 0.000 0.500 0.750
Ga1 Ga 0.000 0.000 0.500
Ga2 Ga 0.000 0.500 0.133
Ga3 Ga 0.500 0.500 0.500
Au1 Au 0.000 0.500 0.362
Au2 Au 0.500 0.500 0.000
```

Main lines, in order of falling intensity (10° ≤ 2θ ≤ 90°):
hkl, 2theta, I (rel.)
1 1 2, 33.66, 100
1 0 3, 31.98, 82
2 0 0, 42.07, 74
1 0 5, 46.13, 53
2 1 5, 64.19, 39
2 1 3, 53.80, 38
1 0 2, 26.26, 36
1 1 4, 44.28, 33
1 1 0, 29.41, 31
1 0 1, 22.20, 30